No. 1
KBaNiF6: theoretical PXRD pattern (a wavelength of 1.5418 Å), based on a structure optimized by DFT (GGA+U).
Kinematic intensities with the Lorentz-polarization factor, no thermal factor.

Atomic structure:
```
data_KBaNiF6
_cell_length_a 6.4887
_cell_length_b 6.4887
_cell_length_c 8.0037
_cell_angle_alpha 90.00
_cell_angle_beta 90.00
_cell_angle_gamma 120.00
_symmetry_space_group_name_H-M 'P -3 1 c'
_symmetry_Int_Tables_number 163
_symmetry_space_group_name_Hall '-P 3 2c'
loop_
_atom_site_label
_atom_site_fract_x
_atom_site_fract_y
_atom_site_fract_z
K1 0.0000 0.0000 0.0000
Ba1 0.3333 0.6667 0.2500
Ni1 0.3333 0.6667 0.7500
F1 0.0856 0.4126 0.6173
```

Top 10 peaks for 10 to 90 degrees two-theta, low angle first:
- 2θ 15.77, d 5.619, I 548, (1 0 0)
- 2θ 22.21, d 4.002, I 296, (0 0 2)
- 2θ 27.36, d 3.260, I 999, (1 0 2)
- 2θ 27.49, d 3.244, I 1000, (1 1 0)
- 2θ 35.62, d 2.520, I 826, (1 1 2)
- 2θ 39.18, d 2.300, I 386, (2 0 2)
- 2θ 44.11, d 2.053, I 238, (3 -1 1)
- 2θ 48.56, d 1.875, I 819, (3 0 0)
- 2θ 53.83, d 1.703, I 558, (2 -1 4)
- 2θ 77.88, d 1.227, I 272, (4 1 0)

---

No. 2
Li8FeNi9O20: theoretical PXRD pattern (a wavelength of 1.5418 Å), based on a structure optimized by DFT (GGA+U).
Kinematic intensities with the Lorentz-polarization factor, no thermal factor.

Atomic structure:
```
data_Li8FeNi9O20
_cell_length_a 6.4755
_cell_length_b 7.6315
_cell_length_c 7.6517
_cell_angle_alpha 67.13
_cell_angle_beta 88.64
_cell_angle_gamma 89.00
_symmetry_space_group_name_H-M 'P -1'
_symmetry_Int_Tables_number 2
_symmetry_space_group_name_Hall '-P 1'
loop_
_atom_site_label
_atom_site_fract_x
_atom_site_fract_y
_atom_site_fract_z
Li1 0.0000 0.0000 0.0000
Li2 0.1024 0.4007 0.8993
Li3 0.2131 0.7891 0.7892
Li4 0.3115 0.2122 0.6910
Li5 0.5000 0.0000 0.5000
Fe1 0.0000 0.5000 0.5000
Ni1 0.0992 0.9029 0.3983
Ni2 0.2017 0.2996 0.2959
Ni3 0.3027 0.7014 0.1990
Ni4 0.3982 0.1006 0.0988
Ni5 0.5000 0.5000 0.0000
O1 0.0115 0.7555 0.2614
O2 0.0726 0.6443 0.6494
O3 0.1231 0.1547 0.1507
O4 0.1791 0.0432 0.5428
O5 0.2242 0.5531 0.0484
O6 0.2714 0.4447 0.4401
O7 0.3265 0.9586 0.9521
O8 0.3820 0.8760 0.3224
O9 0.4101 0.3288 0.8824
O10 0.4753 0.2401 0.2399
```

Top 10 peaks for 10 to 90 degrees two-theta, low angle first:
- 2θ 18.44, d 4.812, I 1000, (1 0 1)
- 2θ 35.49, d 2.530, I 165, (1 2 -1)
- 2θ 36.92, d 2.435, I 234, (0 3 2)
- 2θ 38.29, d 2.350, I 89, (-1 3 1)
- 2θ 42.81, d 2.112, I 234, (0 2 -2)
- 2θ 44.64, d 2.030, I 403, (1 3 3)
- 2θ 48.11, d 1.891, I 84, (0 1 4)
- 2θ 58.61, d 1.575, I 98, (4 -1 0)
- 2θ 63.41, d 1.467, I 116, (1 1 5)
- 2θ 63.73, d 1.460, I 117, (1 5 1)

---

No. 3
Fe3CoBi4As4O24: theoretical PXRD pattern (a wavelength of 1.5418 Å), based on a structure optimized by DFT (GGA+U).
Kinematic intensities with the Lorentz-polarization factor, no thermal factor.

Atomic structure:
```
data_Fe3CoBi4As4O24
_cell_length_a 7.6973
_cell_length_b 7.9293
_cell_length_c 9.0434
_cell_angle_alpha 108.30
_cell_angle_beta 94.39
_cell_angle_gamma 109.24
_symmetry_space_group_name_H-M 'P -1'
_symmetry_Int_Tables_number 2
_symmetry_space_group_name_Hall '-P 1'
loop_
_atom_site_label
_atom_site_fract_x
_atom_site_fract_y
_atom_site_fract_z
Fe1 0.0000 0.0000 0.0000
Fe2 0.2547 0.7586 0.0089
Co1 0.5000 0.5000 0.0000
Bi1 0.1734 0.0028 0.3752
Bi2 0.3296 0.4975 0.6228
As1 0.1937 0.4917 0.2281
As2 0.3037 0.9927 0.7622
O1 0.0273 0.2924 0.0818
O2 0.0909 0.1996 0.5641
O3 0.0919 0.0111 0.7981
O4 0.1498 0.5001 0.4104
O5 0.1745 0.6894 0.1964
O6 0.2319 0.0028 0.1201
O7 0.2884 0.4975 0.9039
O8 0.3126 0.7952 0.8035
O9 0.3432 0.9665 0.5761
O10 0.4101 0.4810 0.1950
O11 0.4188 0.3015 0.4432
O12 0.4727 0.1921 0.9044
```

Top 10 peaks for 10 to 90 degrees two-theta, low angle first:
- 2θ 10.52, d 8.411, I 272, (0 0 1)
- 2θ 16.29, d 5.441, I 368, (1 -1 1)
- 2θ 20.88, d 4.254, I 278, (1 1 0)
- 2θ 23.65, d 3.763, I 564, (1 -1 2)
- 2θ 25.02, d 3.560, I 293, (2 0 0)
- 2θ 25.13, d 3.544, I 586, (2 0 -1)
- 2θ 25.51, d 3.492, I 785, (0 2 0)
- 2θ 31.73, d 2.820, I 1000, (1 1 -3)
- 2θ 32.94, d 2.719, I 489, (2 -2 2)
- 2θ 36.97, d 2.432, I 260, (-1 1 3)